# 1
Cs2CrH8Cl5O4: calculated PXRD pattern (CuKα), based on a GGA+U-relaxed structure.

```
Cs2CrH8Cl5O4
1.0
9.822 -3.096 0.000
9.822 3.096 0.000
-6.811 0.000 12.434
Cs Cr H Cl O
4 2 16 10 8
Cartesian
1.725 0.064 4.089 Cs
-1.681 -0.064 10.305 Cs
14.514 0.064 2.128 Cs
11.109 -0.064 8.345 Cs
9.822 0.000 0.000 Cr
6.417 0.000 6.217 Cr
4.739 2.099 6.135 H
7.713 1.629 0.088 H
5.341 2.008 7.615 H
4.087 2.008 11.035 H
8.294 1.499 1.562 H
11.501 2.099 0.081 H
7.945 1.499 4.654 H
8.526 1.629 6.129 H
4.307 -1.629 6.304 H
4.888 -1.499 7.779 H
1.333 -2.099 12.352 H
4.540 -1.499 10.871 H
8.746 -2.008 1.398 H
7.493 -2.008 4.819 H
5.120 -1.629 12.346 H
8.095 -2.099 6.298 H
8.120 3.025 3.108 Cl
3.251 0.055 0.869 Cl
-0.155 -0.055 7.086 Cl
5.460 0.045 4.084 Cl
2.054 -0.045 10.300 Cl
10.779 0.045 2.133 Cl
7.373 -0.045 8.350 Cl
12.988 0.055 5.348 Cl
9.582 -0.055 11.564 Cl
4.714 -3.025 9.325 Cl
5.517 1.759 6.670 O
3.910 1.759 11.980 O
8.180 0.995 0.713 O
8.059 0.995 5.504 O
4.775 -0.995 6.930 O
4.653 -0.995 11.720 O
8.923 -1.759 0.454 O
7.316 -1.759 5.763 O
```

Main lines, in order of rising 2θ (2θ from 15° to 90°):
2θ/deg  d [Å]  intensity
19.11  4.645  100
21.10  4.211  67
25.36  3.512  26
26.08  3.417  27
26.94  3.309  29
28.84  3.096  45
29.67  3.011  68
30.32  2.948  43
30.63  2.919  43
34.85  2.574  39
38.78  2.322  19
42.54  2.125  30

# 2
Cs2CrH2Cl5O: calculated PXRD pattern (CuKα), based on a GGA+U-relaxed structure.

```
Cs2CrH2Cl5O
1.0
3.750 -9.009 0.000
3.750 9.009 0.000
0.000 0.000 8.163
Cs Cr H Cl O
4 2 4 10 2
Cartesian
3.750 8.518 6.122 Cs
3.750 4.503 2.041 Cs
3.750 -4.503 6.122 Cs
3.750 -8.518 2.041 Cs
3.750 2.037 6.122 Cr
3.750 -2.037 2.041 Cr
3.750 0.645 1.240 H
3.750 0.645 2.841 H
3.750 -0.645 5.321 H
3.750 -0.645 6.923 H
2.084 1.966 4.407 Cl
2.084 1.966 7.837 Cl
3.750 4.381 6.122 Cl
2.084 -1.966 0.325 Cl
2.084 -1.966 3.756 Cl
5.415 1.966 4.407 Cl
5.415 1.966 7.837 Cl
3.750 -4.381 2.041 Cl
5.415 -1.966 0.325 Cl
5.415 -1.966 3.756 Cl
3.750 0.077 2.041 O
3.750 -0.077 6.122 O
```

Main lines, in order of rising 2θ (2θ from 15° to 90°):
2θ/deg  d [Å]  intensity
18.93  4.688  24
21.84  4.069  100
23.73  3.750  20
29.01  3.078  12
29.53  3.024  52
31.03  2.882  47
32.42  2.761  77
38.24  2.354  21
40.03  2.253  17
44.39  2.041  13
52.42  1.745  17
57.87  1.593  13